Starting from a crystal structure in Alexandria, relaxed with PBE, the PXRD pattern of Ac2Nd2CoAu2 was calculated for Cu Kα, 1.54184 Å.
Kinematic intensities with the Lorentz-polarization factor, no thermal factor.

Most intense lines, 2θ = 10–90°, sorted by position:
hkl  Position (°2θ)  intensity
2 0 -2  24.5  23
1 1 1  27.3  36
3 1 0  28.9  100
1 1 -2  32.9  51
4 0 1  33.0  41
3 1 -2  34.0  27
5 1 -1  36.9  33
0 2 0  43.9  30
8 0 -1  48.6  30
4 2 1  56.0  19

Crystal structure
a b c (Å): 15.1191 4.1267 7.3145
angles (deg): 90.00 112.42 90.00
Space group C2/m (No. 12)
Symmetry-distinct sites (fractional):
Ac 0.2050 0.0000 0.2175
Nd 0.0194 0.5000 0.7622
Co 0.0000 0.0000 0.0000
Au 0.1199 0.0000 0.5695

---

Starting from a crystal structure in Alexandria, relaxed with PBE, the PXRD pattern of Ac2Sm2CoAu2 was calculated for Cu Kα, 1.54184 Å.
Kinematic intensities with the Lorentz-polarization factor, no thermal factor.

Most intense lines, 2θ = 10–90°, sorted by position:
hkl  Position (°2θ)  intensity
2 0 -2  24.8  25
1 1 1  27.5  38
3 1 0  29.0  75
4 0 -2  29.1  33
4 0 1  33.3  100
3 1 -2  34.3  32
5 1 -1  37.0  36
0 2 0  44.0  28
8 0 -1  48.7  19
4 2 1  56.3  20

Crystal structure
a b c (Å): 15.0764 4.1122 7.2222
angles (deg): 90.00 112.56 90.00
Space group C2/m (No. 12)
Symmetry-distinct sites (fractional):
Ac 0.2049 0.0000 0.2162
Sm 0.0176 0.5000 0.7614
Co 0.0000 0.0000 0.0000
Au 0.1175 0.0000 0.5713